# 1
Calculated powder diffractogram
Compound: Cs3NaRe6C6S8N6
Radiation: Cu Kα, 1.54184 Å
Structure: the GGA-PBE geometry in OQMD
Intensities are scaled so that the largest is 100.

Main lines, in order of rising 2θ (10° ≤ 2θ ≤ 90°):
8.552 Å, 10.3°, I 100
6.555 Å, 13.5°, I 19
6.181 Å, 14.3°, I 49
5.287 Å, 16.8°, I 33
4.772 Å, 18.6°, I 23
2.716 Å, 33.0°, I 10
2.261 Å, 39.9°, I 14
2.163 Å, 41.8°, I 13
2.094 Å, 43.2°, I 11
2.079 Å, 43.5°, I 14
1.956 Å, 46.4°, I 14
1.934 Å, 47.0°, I 10

Atomic structure:
```
Cs3NaRe6C6S8N6
1.0
11.2837 0.0000 0.0000
0.0000 8.9437 0.0000
0.0000 0.0000 13.1095
Cs Na Re C S N
6 2 12 12 16 12
direct
0.0000 0.0000 0.0000 Cs
0.2500 0.4260 0.2500 Cs
0.2500 0.5740 0.7500 Cs
0.5000 0.0000 0.5000 Cs
0.7500 0.4260 0.2500 Cs
0.7500 0.5740 0.7500 Cs
0.0000 0.5000 0.0000 Na
0.5000 0.5000 0.5000 Na
0.0000 0.0802 0.3691 Re
0.0000 0.9198 0.6309 Re
0.1164 0.1354 0.5382 Re
0.1164 0.8646 0.4618 Re
0.3836 0.1354 0.9618 Re
0.3836 0.8646 0.0382 Re
0.5000 0.0802 0.1309 Re
0.5000 0.9198 0.8691 Re
0.6164 0.1354 0.9618 Re
0.6164 0.8646 0.0382 Re
0.8836 0.1354 0.5382 Re
0.8836 0.8646 0.4618 Re
0.0000 0.1945 0.2287 C
0.0000 0.8055 0.7713 C
0.2433 0.2801 0.9285 C
0.2433 0.7199 0.0715 C
0.2567 0.2801 0.5715 C
0.2567 0.7199 0.4285 C
0.5000 0.1945 0.2713 C
0.5000 0.8055 0.7287 C
0.7433 0.2801 0.5715 C
0.7433 0.7199 0.4285 C
0.7567 0.2801 0.9285 C
0.7567 0.7199 0.0715 C
0.0000 0.1774 0.6917 S
0.0000 0.3236 0.4509 S
0.0000 0.6764 0.5491 S
0.0000 0.8226 0.3083 S
0.2139 0.0718 0.3790 S
0.2139 0.9282 0.6210 S
0.2861 0.0718 0.1210 S
0.2861 0.9282 0.8790 S
0.5000 0.1774 0.8083 S
0.5000 0.3236 0.0491 S
0.5000 0.6764 0.9509 S
0.5000 0.8226 0.1917 S
0.7139 0.0718 0.1210 S
0.7139 0.9282 0.8790 S
0.7861 0.0718 0.3790 S
0.7861 0.9282 0.6210 S
0.0000 0.2734 0.1564 N
0.0000 0.7266 0.8436 N
0.1592 0.3566 0.9179 N
0.1592 0.6434 0.0821 N
0.3408 0.3566 0.5821 N
0.3408 0.6434 0.4179 N
0.5000 0.2734 0.3436 N
0.5000 0.7266 0.6564 N
0.6592 0.3566 0.5821 N
0.6592 0.6434 0.4179 N
0.8408 0.3566 0.9179 N
0.8408 0.6434 0.0821 N
```

# 2
Calculated powder diffractogram
Compound: CsNiC3N3
Radiation: Cu Kα, 1.54184 Å
Structure: the GGA-PBE geometry in OQMD
Intensities are scaled so that the largest is 100.

Main lines, in order of rising 2θ (10° ≤ 2θ ≤ 90°):
3.663 Å, 24.3°, I 100
2.991 Å, 29.9°, I 18
2.590 Å, 34.6°, I 37
2.317 Å, 38.9°, I 5
2.115 Å, 42.8°, I 36
1.832 Å, 49.8°, I 21
1.638 Å, 56.1°, I 26
1.496 Å, 62.1°, I 6
1.385 Å, 67.7°, I 24
1.221 Å, 78.3°, I 11
1.158 Å, 83.4°, I 7
1.105 Å, 88.5°, I 7

Atomic structure:
```
CsNiC3N3
1.0
0.0000 5.1809 5.1809
5.1809 0.0000 5.1809
5.1809 5.1809 0.0000
Cs Ni C N
2 2 6 6
direct
0.2500 0.2500 0.2500 Cs
0.7500 0.7500 0.7500 Cs
0.0000 0.0000 0.0000 Ni
0.5000 0.5000 0.5000 Ni
0.1903 0.1903 0.8097 C
0.1903 0.8097 0.1903 C
0.1903 0.8097 0.8097 C
0.8097 0.1903 0.1903 C
0.8097 0.1903 0.8097 C
0.8097 0.8097 0.1903 C
0.3043 0.3043 0.6957 N
0.3043 0.6957 0.3043 N
0.3043 0.6957 0.6957 N
0.6957 0.3043 0.3043 N
0.6957 0.3043 0.6957 N
0.6957 0.6957 0.3043 N
```